Calculated PXRD pattern of AcPmSbSe for Cu Kα, 1.54184 Å, from the GGA-PBE geometry in Alexandria.
Intensities are scaled so that the largest is 100.

Principal peaks in the range 10° ≤ 2θ ≤ 90°, sorted by position:
2θ 20.29, intensity 49, (0 1 2)
2θ 22.10, intensity 14, (1 0 4)
2θ 26.47, intensity 43, (1 0 7)
2θ 30.33, intensity 20, (0 0 12)
2θ 32.15, intensity 71, (1 0 10)
2θ 34.39, intensity 100, (1 1 0)
2θ 46.50, intensity 37, (1 1 12)
2θ 47.79, intensity 24, (0 2 10)
2θ 60.19, intensity 24, (2 1 10)
2θ 61.58, intensity 22, (3 0 0)

Cell and atoms:
```
data_AcPmSbSe
_cell_length_a 5.2155
_cell_length_b 5.2155
_cell_length_c 35.3609
_cell_angle_alpha 90.00
_cell_angle_beta 90.00
_cell_angle_gamma 120.00
_space_group_name_H-M_alt 'R -3 m'
_space_group_IT_number 166
_space_group_name_Hall '-R 3 2"'
loop_
_atom_site_label
_atom_site_fract_x
_atom_site_fract_y
_atom_site_fract_z
Ac1 0.0000 0.0000 0.2043
Pm1 0.0000 0.0000 0.3780
Sb1 0.0000 0.0000 0.0979
Se1 0.0000 0.0000 0.2968
```